Computed PXRD pattern of RbNpMnO6 for Cu Kα (λ = 1.5418 Å), from a cell relaxed with GGA+U.
No peak broadening, texture or thermal motion is included.

Main lines, low angle first (10 to 80 degrees two-theta):
2θ/deg, I_rel, index
13.91, 47.0, 0 0 1
19.24, 27.0, 1 0 0
23.82, 100.0, 1 0 1
28.03, 14.3, 0 0 2
33.64, 28.3, 1 1 0
36.57, 15.5, 2 -1 1
41.64, 20.4, 2 0 1
44.34, 39.5, 2 -1 2
47.14, 14.8, 1 0 3
54.56, 21.1, 3 -1 1

Structural model:
```
data_RbNpMnO6
_chemical_formula_sum 'Rb1 Np1 Mn1 O6'
_space_group_name_H-M_alt 'P 3 1 2'
_space_group_IT_number 149
_space_group_name_Hall 'P 3 2'
_cell_length_a 5.3278
_cell_length_b 5.3278
_cell_length_c 6.3668
_cell_angle_alpha 90.00
_cell_angle_beta 90.00
_cell_angle_gamma 120.00
loop_
_atom_site_label
_atom_site_type_symbol
_atom_site_fract_x
_atom_site_fract_y
_atom_site_fract_z
Rb1 Rb 0.0000 0.0000 0.0000
Np1 Np 0.6667 0.3333 0.5000
Mn1 Mn 0.3333 0.6667 0.5000
O1 O 0.0117 0.3865 0.6694
```